Record 1
The following is a theoretical X-ray powder pattern of Ag4Pt7. It was derived from a cell relaxed with PBE, using Cu Kα, 1.54184 Å.
Intensities are scaled so that the largest is 1000.

Cell and atoms:
```
Ag4Pt7
1.0
4.9092 0.0000 0.0000
0.8481 4.8846 0.0000
0.8178 -0.1234 7.4744
Ag Pt
4 7
Cartesian
0.8130 1.9574 2.3585
3.3052 3.2113 6.4889
3.2699 1.5499 0.9855
5.7621 2.8038 5.1159
1.6105 0.9418 7.0720
1.6717 0.1436 4.4006
2.4794 4.2034 1.7584
3.2875 2.3806 3.7372
4.0957 0.5578 5.7160
4.9034 4.6176 3.0738
4.9646 3.8194 0.4024
```

Principal peaks in the range 2θ from 10° to 90°, sorted by position:
two_theta	d_spacing	I/Imax
38.6	2.333	341
38.8	2.320	1000
44.8	2.022	220
45.1	2.011	218
45.3	2.004	217
65.4	1.428	143
65.7	1.422	140
78.6	1.217	84
78.7	1.215	83
79.0	1.212	126

***

Record 2
The following is a theoretical X-ray powder pattern of Ho2Ge7Rh12. It was derived from a cell relaxed with PBE, using Cu Kα, 1.54184 Å.
Intensities are scaled so that the largest is 1000.

Cell and atoms:
```
Ho2Ge7Rh12
1.0
9.9531 0.0000 0.0000
-4.9765 8.6196 0.0000
0.0000 0.0000 3.8952
Ho Ge Rh
2 7 12
Cartesian
0.0000 0.0000 0.0000
0.0000 5.7464 1.9476
-1.5587 3.8761 0.0000
1.5088 1.8985 1.9476
-0.8404 8.0315 0.0000
2.3991 5.3317 0.0000
4.9765 2.8732 0.0000
7.5545 0.3574 1.9476
5.8663 6.3637 1.9476
-0.8817 2.3642 1.9476
-2.4362 6.1528 0.0000
-2.4882 8.2011 1.9476
0.8662 3.4334 0.0000
2.9815 1.5671 0.0000
3.1198 3.8075 1.9476
5.0957 0.7981 1.9476
1.5701 7.6530 0.0000
3.3700 6.6739 1.9476
4.8429 5.2540 0.0000
7.1052 1.7985 0.0000
6.7140 4.0140 1.9476
```

Principal peaks in the range 2θ from 10° to 90°, sorted by position:
two_theta	d_spacing	I/Imax
35.9	2.499	1000
36.1	2.488	92
39.0	2.312	85
41.9	2.155	83
44.5	2.038	169
45.9	1.977	82
46.6	1.948	210
48.4	1.881	223
69.5	1.353	148
79.5	1.206	97

***

Record 3
The following is a theoretical X-ray powder pattern of HoEr2ZrAs4. It was derived from a cell relaxed with PBE, using Cu Kα, 1.54184 Å.
Intensities are scaled so that the largest is 1000.

Cell and atoms:
```
HoEr2ZrAs4
1.0
6.9668 0.0000 0.0000
0.0000 4.0199 0.0000
-2.3028 0.0000 6.5763
Ho Er Zr As
1 2 1 4
Cartesian
0.0000 0.0000 0.0000
2.3320 0.0000 3.2882
3.4834 2.0100 0.0000
-1.1514 2.0100 3.2882
-0.0182 0.0000 4.8783
1.1303 2.0100 1.6773
3.5337 2.0100 4.8991
4.6822 0.0000 1.6981
```

Principal peaks in the range 2θ from 10° to 90°, sorted by position:
two_theta	d_spacing	I/Imax
27.1	3.285	183
31.4	2.845	1000
45.0	2.016	123
45.1	2.011	613
55.9	1.644	128
56.0	1.641	128
65.6	1.423	79
74.6	1.272	218
83.1	1.163	82
83.2	1.161	124

***

Record 4
The following is a theoretical X-ray powder pattern of Ga2HS2. It was derived from a cell relaxed with PBE, using Cu Kα, 1.54184 Å.
Intensities are scaled so that the largest is 1000.

Cell and atoms:
```
Ga2HS2
1.0
-3.3805 3.3805 5.5427
3.3805 -3.3805 5.5427
3.3805 3.3805 -5.5427
Ga H S
4 2 4
Cartesian
0.0000 1.6033 0.0000
-1.6033 3.3805 2.7713
1.6033 3.3805 2.7713
0.0000 5.1577 0.0000
3.3805 0.0000 5.0867
0.0000 0.0000 7.8581
0.0000 1.6702 2.3703
-1.6702 3.3805 5.1417
1.6702 3.3805 5.1417
0.0000 5.0908 2.3703
```

Principal peaks in the range 2θ from 10° to 90°, sorted by position:
two_theta	d_spacing	I/Imax
15.4	5.772	1000
27.5	3.242	113
30.6	2.917	324
31.0	2.886	180
32.3	2.771	189
37.6	2.390	281
49.3	1.849	99
50.4	1.810	196
51.1	1.788	108
56.8	1.622	135

***

Record 5
The following is a theoretical X-ray powder pattern of Ca3Pr2Sb3O14. It was derived from a cell relaxed with PBE, using Cu Kα, 1.54184 Å.
Intensities are scaled so that the largest is 1000.

Cell and atoms:
```
Ca3Pr2Sb3O14
1.0
6.5278 -3.8102 0.0000
6.5278 3.8102 0.0000
-4.2745 0.0000 6.1838
Ca Pr Sb O
3 2 3 14
Cartesian
0.0000 0.0000 0.0000
-2.1372 0.0000 3.0919
6.5278 0.0000 0.0000
1.1267 1.9051 3.0919
1.1267 -1.9051 3.0919
3.2639 1.9051 0.0000
3.2639 -1.9051 0.0000
4.3905 0.0000 3.0919
-0.0186 0.0000 2.3409
0.8650 1.7858 5.6060
3.6625 1.5326 1.9675
-1.4199 0.0000 5.6111
7.9160 1.7858 0.5778
2.5887 0.0000 3.9116
5.1185 1.5326 4.2162
3.6625 -1.5326 1.9675
6.1924 0.0000 2.2722
0.8650 -1.7858 5.6060
10.2010 0.0000 0.5726
5.1185 -1.5326 4.2162
7.9160 -1.7858 0.5778
8.7996 0.0000 3.8429
```

Principal peaks in the range 2θ from 10° to 90°, sorted by position:
two_theta	d_spacing	I/Imax
16.5	5.367	308
28.7	3.107	1000
28.9	3.092	495
29.1	3.067	517
33.5	2.676	384
47.8	1.901	359
48.2	1.889	301
56.8	1.622	226
56.9	1.619	280
57.2	1.611	212

***

Record 6
The following is a theoretical X-ray powder pattern of CaInSnBr5. It was derived from a cell relaxed with PBE, using Cu Kα, 1.54184 Å.
Intensities are scaled so that the largest is 1000.

Cell and atoms:
```
CaInSnBr5
1.0
5.3031 -5.9309 0.0000
5.3031 5.9309 0.0000
-4.2213 0.0000 9.8051
Ca In Sn Br
2 2 2 10
Cartesian
2.6515 2.9655 0.0000
0.5409 -2.9655 4.9026
2.1371 5.2149 7.3538
4.2477 -5.2149 2.4513
2.1371 0.0255 7.3538
4.2477 -0.0255 2.4513
1.8384 0.2771 0.7290
4.2477 3.4671 2.4513
-0.2722 -0.2771 5.6315
1.0794 1.9942 8.9919
3.1948 1.9942 5.7158
3.1900 -1.9942 4.0893
5.3055 -1.9942 0.8132
6.6571 0.2771 4.1736
2.1371 -3.4671 7.3538
4.5464 -0.2771 9.0761
```

Principal peaks in the range 2θ from 10° to 90°, sorted by position:
two_theta	d_spacing	I/Imax
14.9	5.931	402
16.9	5.247	396
18.2	4.871	827
20.0	4.444	445
27.3	3.264	434
28.2	3.169	1000
30.6	2.925	692
31.5	2.838	446
36.9	2.435	488
37.3	2.408	377

***

Record 7
The following is a theoretical X-ray powder pattern of Nd2Dy2Hg. It was derived from a cell relaxed with PBE, using Cu Kα, 1.54184 Å.
Intensities are scaled so that the largest is 1000.

Cell and atoms:
```
Nd2Dy2Hg
1.0
4.2029 -4.7649 0.0000
4.2029 4.7649 0.0000
-3.6390 0.0000 7.6975
Nd Dy Hg
4 4 2
Cartesian
-0.1895 0.0000 3.2968
-0.8842 0.0000 6.8080
5.6510 0.0000 0.8895
4.9563 0.0000 4.4007
2.5726 1.7628 2.1395
2.1942 1.7628 5.5581
2.5726 -1.7628 2.1395
2.1942 -1.7628 5.5581
4.2029 3.1788 0.0000
4.2029 -3.1788 0.0000
```

Principal peaks in the range 2θ from 10° to 90°, sorted by position:
two_theta	d_spacing	I/Imax
11.5	7.698	266
30.1	2.971	777
30.8	2.903	999
31.6	2.828	938
32.7	2.737	1000
33.5	2.674	775
35.3	2.542	982
35.9	2.505	375
57.5	1.603	342
58.7	1.573	285

***

Record 8
The following is a theoretical X-ray powder pattern of Ac2HgI2N. It was derived from a cell relaxed with PBE, using Cu Kα, 1.54184 Å.
Intensities are scaled so that the largest is 1000.

Cell and atoms:
```
Ac2HgI2N
1.0
4.2953 0.0000 0.0000
0.0000 12.5809 0.0000
0.0000 0.0000 8.4636
Ac Hg I N
4 2 4 2
Cartesian
0.0000 1.7715 0.0000
0.0000 10.8093 4.2318
2.1477 2.4970 3.3897
2.1477 10.0839 7.6215
2.1477 0.4298 6.0785
2.1477 12.1511 1.8467
0.0000 4.0056 5.5849
0.0000 8.5753 1.3531
2.1477 4.3585 0.6408
2.1477 8.2223 4.8726
0.0000 1.6830 2.3422
0.0000 10.8979 6.5740
```

Principal peaks in the range 2θ from 10° to 90°, sorted by position:
two_theta	d_spacing	I/Imax
24.3	3.664	408
27.3	3.272	1000
30.0	2.979	494
30.5	2.932	350
32.5	2.753	298
32.9	2.718	309
37.0	2.431	255
38.9	2.318	242
42.1	2.148	243
52.5	1.742	211

***

Record 9
The following is a theoretical X-ray powder pattern of Tb2CeIn2. It was derived from a cell relaxed with PBE, using Cu Kα, 1.54184 Å.
Intensities are scaled so that the largest is 1000.

Cell and atoms:
```
Tb2CeIn2
1.0
5.1574 0.0000 0.0000
-2.5787 4.4664 0.0000
0.0000 0.0000 12.5812
Tb Ce In
4 2 4
Cartesian
0.0000 0.0000 0.0000
0.0000 0.0000 6.2906
0.0000 2.9776 3.1453
2.5787 1.4888 9.4359
0.0000 0.0000 3.1453
0.0000 0.0000 9.4359
0.0000 2.9776 7.8892
0.0000 2.9776 10.9826
2.5787 1.4888 1.5986
2.5787 1.4888 4.6920
```

Principal peaks in the range 2θ from 10° to 90°, sorted by position:
two_theta	d_spacing	I/Imax
14.1	6.291	91
29.2	3.057	343
34.8	2.576	1000
41.2	2.192	150
46.0	1.971	98
50.1	1.821	114
59.0	1.566	92
62.4	1.488	239
70.1	1.343	173
73.4	1.289	76

***

Record 10
The following is a theoretical X-ray powder pattern of Hf2UReC4. It was derived from a cell relaxed with PBE, using Cu Kα, 1.54184 Å.
Intensities are scaled so that the largest is 1000.

Cell and atoms:
```
Hf2UReC4
1.0
1.6405 -5.7812 0.0000
1.6405 5.7812 0.0000
0.0000 0.0000 11.3576
Hf U Re C
4 2 2 8
Cartesian
1.6405 4.2788 6.1152
1.6405 4.2788 10.9211
1.6405 -4.2788 0.4365
1.6405 -4.2788 5.2423
1.6405 1.3004 8.5182
1.6405 -1.3004 2.8394
1.6405 1.7348 2.8394
1.6405 -1.7348 8.5182
1.6405 5.2676 8.5182
1.6405 3.0629 1.3871
1.6405 3.0629 4.2916
1.6405 0.0000 0.0000
1.6405 0.0000 5.6788
1.6405 -3.0629 7.0659
1.6405 -3.0629 9.9704
1.6405 -5.2676 2.8394
```

Principal peaks in the range 2θ from 10° to 90°, sorted by position:
two_theta	d_spacing	I/Imax
28.2	3.167	243
30.9	2.891	580
31.5	2.839	451
32.5	2.759	1000
39.4	2.287	806
44.7	2.026	301
50.9	1.793	210
56.1	1.641	154
65.4	1.427	290
74.4	1.275	149

***

Record 11
The following is a theoretical X-ray powder pattern of LiMnHg. It was derived from a cell relaxed with PBE, using Cu Kα, 1.54184 Å.
Intensities are scaled so that the largest is 1000.

Cell and atoms:
```
LiMnHg
1.0
3.0372 0.0000 0.0000
0.0000 3.9844 0.0000
0.0000 0.0000 8.5918
Li Mn Hg
2 2 2
Cartesian
0.0000 0.0000 0.0000
1.5186 1.9922 4.2959
0.0000 0.0000 2.8393
1.5186 1.9922 7.1352
0.0000 0.0000 5.7035
1.5186 1.9922 1.4076
```

Principal peaks in the range 2θ from 10° to 90°, sorted by position:
two_theta	d_spacing	I/Imax
20.7	4.296	753
24.6	3.615	1000
31.2	2.864	559
37.2	2.415	786
38.7	2.326	705
43.0	2.105	481
43.4	2.084	510
45.5	1.992	222
56.3	1.635	221
64.7	1.440	308

***

Record 12
The following is a theoretical X-ray powder pattern of NdSi4Pd12. It was derived from a cell relaxed with PBE, using Cu Kα, 1.54184 Å.
Intensities are scaled so that the largest is 1000.

Cell and atoms:
```
NdSi4Pd12
1.0
-4.1993 4.1993 4.1993
4.1993 -4.1993 4.1993
4.1993 4.1993 -4.1993
Nd Si Pd
1 4 12
Cartesian
0.0000 0.0000 0.0000
2.0997 2.0997 -2.0997
2.0997 -2.0997 2.0997
-2.0997 2.0997 2.0997
2.0997 2.0997 2.0997
2.8543 1.3992 0.0000
5.5444 1.3992 0.0000
4.1993 -1.3450 2.8002
2.8002 4.1993 -1.3450
1.3992 0.0000 2.8543
4.1993 1.3450 2.8002
0.0000 2.8543 1.3992
2.8002 4.1993 1.3450
1.3992 0.0000 5.5444
0.0000 5.5444 1.3992
-1.3450 2.8002 4.1993
1.3450 2.8002 4.1993
```

Principal peaks in the range 2θ from 10° to 90°, sorted by position:
two_theta	d_spacing	I/Imax
33.7	2.656	1000
40.2	2.245	476
53.4	1.714	156
55.8	1.647	233
64.7	1.440	129
66.8	1.400	139
68.9	1.362	80
77.0	1.238	172
80.9	1.188	70
88.7	1.103	76